Theoretical powder diffractogram
Compound: KNaHo
Radiation: a wavelength of 1.5418 Å
Structure: the PBE geometry in Alexandria
Peak positions follow from Bragg's law for the DFT cell and can differ from measured ones.

Structural model:
a b c (Å): 3.8159 3.8159 17.4647
angles (deg): 90.00 90.00 90.00
Space group P4/nmm (No. 129, origin choice 2)
Unique sites:
K1 0.2500 0.2500 0.1112 x2
Na1 0.2500 0.2500 0.7050 x2
Ho1 0.2500 0.2500 0.4388 x2

Most intense lines, 10 to 80 degrees two-theta, in order of rising 2θ:
- (0 0 2), 10.1 deg, rel. 66
- (1 0 3), 28.0 deg, rel. 100
- (1 0 4), 31.1 deg, rel. 55
- (1 1 0), 33.2 deg, rel. 41
- (1 1 1), 33.6 deg, rel. 24
- (1 0 5), 34.8 deg, rel. 40
- (1 0 6), 38.9 deg, rel. 18
- (1 1 7), 49.8 deg, rel. 16
- (2 1 3), 56.2 deg, rel. 27
- (2 1 4), 58.0 deg, rel. 25

***

Theoretical powder diffractogram
Compound: K2HoNb5O15
Radiation: a wavelength of 1.5418 Å
Structure: the PBE geometry in Alexandria
Peak positions follow from Bragg's law for the DFT cell and can differ from measured ones.

Structural model:
a b c (Å): 12.7409 12.7409 3.9557
angles (deg): 90.00 90.00 90.00
Space group P4/mbm (No. 127)
Unique sites:
K1 0.1707 0.3293 0.0000 x4
Ho1 0.0000 0.0000 0.0000 x2
Nb1 0.0000 0.5000 0.5000 x2
Nb2 0.0763 0.7883 0.5000 x8
O1 0.0000 0.5000 0.0000 x2
O2 0.0008 0.3419 0.5000 x8
O3 0.0587 0.1310 0.5000 x8
O4 0.0774 0.8155 0.0000 x8
O5 0.2166 0.7166 0.5000 x4

Most intense lines, 10 to 80 degrees two-theta, in order of rising 2θ:
- (2 0 0), 13.9 deg, rel. 45
- (3 2 0), 25.2 deg, rel. 39
- (2 1 1), 27.4 deg, rel. 33
- (4 1 0), 28.9 deg, rel. 48
- (2 2 1), 30.1 deg, rel. 36
- (4 2 0), 31.4 deg, rel. 47
- (3 1 1), 31.7 deg, rel. 100
- (6 2 0), 45.0 deg, rel. 30
- (0 0 2), 45.9 deg, rel. 31
- (5 5 1), 56.1 deg, rel. 48

***

Theoretical powder diffractogram
Compound: K3HoNb2O8
Radiation: a wavelength of 1.5418 Å
Structure: the PBE geometry in Alexandria
Peak positions follow from Bragg's law for the DFT cell and can differ from measured ones.

Structural model:
a b c (Å): 6.1855 6.1855 7.7496
angles (deg): 90.00 90.00 120.00
Space group P-3m1 (No. 164)
Unique sites:
K1 0.0000 0.0000 0.0000 x1
K2 0.3333 0.6667 0.6745 x2
Ho1 0.0000 0.0000 0.5000 x1
Nb1 0.3333 0.6667 0.2344 x2
O1 0.1686 0.3372 0.3246 x6
O2 0.3333 0.6667 0.9994 x2

Most intense lines, 10 to 80 degrees two-theta, in order of rising 2θ:
- (0 0 1), 11.4 deg, rel. 29
- (1 0 1), 20.2 deg, rel. 75
- (0 1 2), 28.4 deg, rel. 83
- (1 1 0), 28.9 deg, rel. 100
- (2 0 2), 41.0 deg, rel. 45
- (2 1 1), 46.4 deg, rel. 17
- (1 2 2), 50.9 deg, rel. 32
- (3 0 0), 51.2 deg, rel. 19
- (1 1 4), 56.0 deg, rel. 20
- (2 2 0), 59.8 deg, rel. 18

***

Theoretical powder diffractogram
Compound: K3Ho3NpO8
Radiation: a wavelength of 1.5418 Å
Structure: the PBE geometry in Alexandria
Peak positions follow from Bragg's law for the DFT cell and can differ from measured ones.

Structural model:
a b c (Å): 6.9359 6.9359 19.0151
angles (deg): 90.00 90.00 120.00
Space group R-3m (No. 166, hexagonal axes)
Unique sites:
K1 0.0000 0.5000 0.0000 x9
Ho1 0.0000 0.5000 0.5000 x9
Np1 0.0000 0.0000 0.5000 x3
O1 0.0000 0.0000 0.2265 x6
O2 0.0085 0.5043 0.2249 x18

Most intense lines, 10 to 80 degrees two-theta, in order of rising 2θ:
- (0 0 3), 14.0 deg, rel. 100
- (0 0 6), 28.2 deg, rel. 26
- (0 2 1), 30.1 deg, rel. 38
- (2 0 2), 31.2 deg, rel. 53
- (0 2 4), 35.4 deg, rel. 68
- (0 2 7), 45.0 deg, rel. 20
- (2 0 8), 48.9 deg, rel. 23
- (2 2 0), 52.8 deg, rel. 22
- (2 2 3), 54.9 deg, rel. 19
- (2 2 6), 60.9 deg, rel. 19

***

Theoretical powder diffractogram
Compound: K3HoNp3S8
Radiation: a wavelength of 1.5418 Å
Structure: the PBE geometry in Alexandria
Peak positions follow from Bragg's law for the DFT cell and can differ from measured ones.

Structural model:
a b c (Å): 14.0799 8.1065 8.7968
angles (deg): 90.00 122.12 90.00
Space group C2/m (No. 12)
Unique sites:
K1 0.0000 0.0000 0.0000 x2
K2 0.2500 0.2500 0.0000 x4
Ho1 0.0000 0.0000 0.5000 x2
Np1 0.0000 0.5000 0.5000 x2
Np2 0.2500 0.2500 0.5000 x4
S1 0.0170 0.2489 0.3042 x8
S2 0.2308 0.0000 0.6932 x4
S3 0.2338 0.5000 0.7006 x4

Most intense lines, 10 to 80 degrees two-theta, in order of rising 2θ:
- (0 0 1), 11.9 deg, rel. 100
- (0 0 2), 23.9 deg, rel. 18
- (4 0 -1), 25.7 deg, rel. 38
- (4 0 -2), 26.6 deg, rel. 36
- (4 0 0), 30.0 deg, rel. 79
- (2 2 1), 32.4 deg, rel. 15
- (2 2 -3), 38.1 deg, rel. 16
- (2 2 2), 41.3 deg, rel. 29
- (0 4 0), 44.7 deg, rel. 27
- (6 2 -3), 46.3 deg, rel. 15

***

Theoretical powder diffractogram
Compound: K3Ho3NpSe8
Radiation: a wavelength of 1.5418 Å
Structure: the PBE geometry in Alexandria
Peak positions follow from Bragg's law for the DFT cell and can differ from measured ones.

Structural model:
a b c (Å): 8.3369 8.3369 23.4008
angles (deg): 90.00 90.00 120.00
Space group R-3m (No. 166, hexagonal axes)
Unique sites:
K1 0.0000 0.5000 0.0000 x9
Ho1 0.0000 0.5000 0.5000 x9
Np1 0.0000 0.0000 0.5000 x3
Se1 0.0000 0.0000 0.2344 x6
Se2 0.0021 0.5011 0.2333 x18

Most intense lines, 10 to 80 degrees two-theta, in order of rising 2θ:
- (0 0 3), 11.3 deg, rel. 88
- (0 2 1), 25.0 deg, rel. 20
- (0 2 4), 29.1 deg, rel. 100
- (0 2 7), 36.6 deg, rel. 28
- (2 0 8), 39.7 deg, rel. 34
- (2 2 0), 43.4 deg, rel. 36
- (2 2 3), 45.0 deg, rel. 19
- (2 0 11), 49.7 deg, rel. 15
- (4 0 4), 53.1 deg, rel. 18
- (2 4 4), 70.9 deg, rel. 15